For Ba6Fe14Cu11S27, the PBE geometry in the Materials Project gives the simulated powder diffraction line list in this record (Cu Ka).

Top 12 peaks for 10° ≤ 2θ ≤ 80°, in order of falling intensity:
2θ (°)  I/Imax  hkl
30.06  100  2 2 -2
29.90  87  -2 2 2
49.90  80  0 4 -4
38.04  62  3 3 1
25.90  62  0 3 0
27.58  57  3 0 -1
37.93  51  3 1 3
38.20  44  -3 3 1
27.34  43  1 3 0
50.32  41  4 -4 0
50.21  41  4 4 0
49.45  40  0 4 4

```
data_Ba6Fe14Cu11S27
_chemical_formula_sum 'Ba6 Fe14 Cu11 S27'
_space_group_name_H-M_alt 'P 1'
_space_group_IT_number 1
_space_group_name_Hall 'P 1'
_cell_length_a 10.209
_cell_length_b 10.329
_cell_length_c 10.442
_cell_angle_alpha 89.54
_cell_angle_beta 89.88
_cell_angle_gamma 89.87
loop_
_atom_site_label
_atom_site_type_symbol
_atom_site_fract_x
_atom_site_fract_y
_atom_site_fract_z
Ba1 Ba 0.000 0.000 0.000
Ba2 Ba 0.000 0.001 0.605
Ba3 Ba 0.000 0.304 0.301
Ba4 Ba 0.000 0.697 0.299
Ba5 Ba 0.303 0.000 0.300
Ba6 Ba 0.697 0.001 0.299
Fe1 Fe 0.133 0.633 0.669
Fe2 Fe 0.134 0.365 0.936
Fe3 Fe 0.368 0.862 0.935
Fe4 Fe 0.370 0.631 0.439
Fe5 Fe 0.371 0.370 0.440
Fe6 Fe 0.372 0.140 0.670
Fe7 Fe 0.500 0.501 0.807
Fe8 Fe 0.628 0.136 0.670
Fe9 Fe 0.629 0.369 0.440
Fe10 Fe 0.629 0.629 0.437
Fe11 Fe 0.630 0.867 0.675
Fe12 Fe 0.633 0.860 0.934
Fe13 Fe 0.866 0.366 0.937
Fe14 Fe 0.866 0.633 0.671
Cu1 Cu 0.140 0.636 0.937
Cu2 Cu 0.141 0.365 0.668
Cu3 Cu 0.364 0.859 0.667
Cu4 Cu 0.365 0.140 0.936
Cu5 Cu 0.366 0.367 0.161
Cu6 Cu 0.367 0.634 0.161
Cu7 Cu 0.633 0.634 0.160
Cu8 Cu 0.634 0.368 0.161
Cu9 Cu 0.636 0.141 0.937
Cu10 Cu 0.859 0.365 0.667
Cu11 Cu 0.860 0.636 0.937
S1 S 0.000 0.000 0.304
S2 S 0.000 0.246 0.806
S3 S 0.000 0.497 0.056
S4 S 0.000 0.755 0.798
S5 S 0.218 0.222 0.081
S6 S 0.219 0.778 0.521
S7 S 0.220 0.782 0.081
S8 S 0.222 0.220 0.522
S9 S 0.248 0.000 0.802
S10 S 0.248 0.501 0.306
S11 S 0.265 0.500 0.804
S12 S 0.499 0.730 0.804
S13 S 0.500 0.248 0.304
S14 S 0.500 0.268 0.802
S15 S 0.500 0.501 0.034
S16 S 0.500 0.501 0.575
S17 S 0.500 0.753 0.305
S18 S 0.500 0.997 0.055
S19 S 0.500 0.999 0.545
S20 S 0.735 0.499 0.804
S21 S 0.752 0.500 0.305
S22 S 0.755 0.000 0.802
S23 S 0.779 0.219 0.522
S24 S 0.779 0.780 0.523
S25 S 0.781 0.782 0.081
S26 S 0.782 0.222 0.081
S27 S 0.999 0.504 0.548
```

For Ho4CdCo, the PBE geometry in the Materials Project gives the simulated powder diffraction line list in this record (Cu Ka).

Top 12 peaks for 10° ≤ 2θ ≤ 80°, in order of falling intensity:
2θ (°)  I/Imax  hkl
34.87  100  5 1 1
32.82  62  4 2 2
58.58  54  6 6 0
29.11  35  3 3 1
38.07  26  4 4 0
70.02  16  9 3 3
56.32  14  7 3 3
59.91  13  5 5 5
52.58  8  5 5 3
72.03  8  10 2 0
73.23  7  9 5 1
48.63  7  5 5 1

```
data_Ho4CdCo
_chemical_formula_sum 'Ho64 Cd16 Co16'
_space_group_name_H-M_alt 'F -4 3 m'
_space_group_IT_number 216
_space_group_name_Hall 'F -4 2 3'
_cell_length_a 13.370
_cell_length_b 13.370
_cell_length_c 13.370
_cell_angle_alpha 90.00
_cell_angle_beta 90.00
_cell_angle_gamma 90.00
loop_
_atom_site_label
_atom_site_type_symbol
_atom_site_fract_x
_atom_site_fract_y
_atom_site_fract_z
Ho1 Ho 0.000 0.000 0.188
Ho2 Ho 0.062 0.250 0.250
Ho3 Ho 0.154 0.154 0.654
Cd1 Cd 0.081 0.081 0.419
Co1 Co 0.141 0.141 0.859
```

For NdYZn2, the PBE geometry in the Materials Project gives the simulated powder diffraction line list in this record (Cu Ka).

Top 12 peaks for 10° ≤ 2θ ≤ 80°, in order of falling intensity:
2θ (°)  I/Imax  hkl
34.82  100  2 2 0
62.42  35  4 2 2
50.06  17  4 0 0
73.51  11  4 4 0
24.43  7  2 0 0
21.11  4  1 1 1
56.47  3  4 2 0
41.08  3  3 1 1
42.99  2  2 2 2
78.79  2  6 0 0
54.91  1  3 3 1
77.48  1  5 3 1

```
data_NdYZn2
_chemical_formula_sum 'Nd4 Y4 Zn8'
_space_group_name_H-M_alt 'F m -3 m'
_space_group_IT_number 225
_space_group_name_Hall '-F 4 2 3'
_cell_length_a 7.288
_cell_length_b 7.288
_cell_length_c 7.288
_cell_angle_alpha 90.00
_cell_angle_beta 90.00
_cell_angle_gamma 90.00
loop_
_atom_site_label
_atom_site_type_symbol
_atom_site_fract_x
_atom_site_fract_y
_atom_site_fract_z
Nd1 Nd 0.000 0.000 0.000
Y1 Y 0.000 0.000 0.500
Zn1 Zn 0.250 0.250 0.250
```

For Tb2CuAg, the PBE geometry in the Materials Project gives the simulated powder diffraction line list in this record (Cu Ka).

Top 12 peaks for 10° ≤ 2θ ≤ 80°, in order of falling intensity:
2θ (°)  I/Imax  hkl
35.41  100  1 0 2
35.90  49  1 1 0
64.21  34  2 1 2
51.68  17  2 0 0
63.26  17  1 1 4
74.93  10  2 0 4
25.18  9  1 0 0
50.21  9  0 0 4
76.11  5  2 2 0
24.49  4  0 0 2
28.05  4  1 0 1
43.95  4  1 1 2

```
data_Tb2CuAg
_chemical_formula_sum 'Tb2 Cu1 Ag1'
_space_group_name_H-M_alt 'P 4/m m m'
_space_group_IT_number 123
_space_group_name_Hall '-P 4 2'
_cell_length_a 3.537
_cell_length_b 3.537
_cell_length_c 7.268
_cell_angle_alpha 90.00
_cell_angle_beta 90.00
_cell_angle_gamma 90.00
loop_
_atom_site_label
_atom_site_type_symbol
_atom_site_fract_x
_atom_site_fract_y
_atom_site_fract_z
Tb1 Tb 0.000 0.000 0.235
Cu1 Cu 0.500 0.500 0.000
Ag1 Ag 0.500 0.500 0.500
```

Please write out number 2 again, unchanged.
For Ho4CdCo, the PBE geometry in the Materials Project gives the simulated powder diffraction line list in this record (Cu Ka).

Top 12 peaks for 10° ≤ 2θ ≤ 80°, in order of falling intensity:
2θ (°)  I/Imax  hkl
34.87  100  5 1 1
32.82  62  4 2 2
58.58  54  6 6 0
29.11  35  3 3 1
38.07  26  4 4 0
70.02  16  9 3 3
56.32  14  7 3 3
59.91  13  5 5 5
52.58  8  5 5 3
72.03  8  10 2 0
73.23  7  9 5 1
48.63  7  5 5 1

```
data_Ho4CdCo
_chemical_formula_sum 'Ho64 Cd16 Co16'
_space_group_name_H-M_alt 'F -4 3 m'
_space_group_IT_number 216
_space_group_name_Hall 'F -4 2 3'
_cell_length_a 13.370
_cell_length_b 13.370
_cell_length_c 13.370
_cell_angle_alpha 90.00
_cell_angle_beta 90.00
_cell_angle_gamma 90.00
loop_
_atom_site_label
_atom_site_type_symbol
_atom_site_fract_x
_atom_site_fract_y
_atom_site_fract_z
Ho1 Ho 0.000 0.000 0.188
Ho2 Ho 0.062 0.250 0.250
Ho3 Ho 0.154 0.154 0.654
Cd1 Cd 0.081 0.081 0.419
Co1 Co 0.141 0.141 0.859
```